Starting from the GGA-PBE geometry in Alexandria, the powder diffractogram of ErFe10Si2 was computed for Cu Kα.

Atomic structure:
Cell lengths 6.3250, 6.3250, 6.3250 Å; angles 135.94, 98.44, 97.74 degrees
Sites, in units of the cell vectors:
Er: 0.0000 0.0000 0.0000
Fe: 0.0000 0.0000 0.5000
Fe: 0.0000 0.5000 0.0000
Fe: 0.2076 0.5000 0.7076
Fe: 0.3542 0.0000 0.3542
Fe: 0.3609 0.3609 0.0000
Fe: 0.5000 0.0000 0.0000
Fe: 0.5000 0.5000 0.5000
Fe: 0.6391 0.6391 0.0000
Fe: 0.6458 0.0000 0.6458
Fe: 0.7924 0.5000 0.2924
Si: 0.2338 0.7338 0.5000
Si: 0.7662 0.2662 0.5000

The 10 most intense peaks (15° ≤ 2θ ≤ 90°), low angle first:
21.58°, rel. 27; 30.51°, rel. 30; 30.64°, rel. 26; 37.56°, rel. 25; 37.77°, rel. 54; 43.50°, rel. 34; 43.69°, rel. 51; 43.80°, rel. 89; 43.97°, rel. 100; 80.11°, rel. 26

Starting from the GGA-PBE geometry in Alexandria, the powder diffractogram of RbCr was computed for Cu Kα.

Atomic structure:
Cell lengths 3.3078, 3.3078, 11.0894 Å; angles 90.00, 90.00, 90.00 degrees
Sites, in units of the cell vectors:
Rb: 0.2500 0.2500 0.2068
Rb: 0.7500 0.7500 0.7932
Cr: 0.2500 0.7500 0.5000
Cr: 0.7500 0.2500 0.5000

The 10 most intense peaks (15° ≤ 2θ ≤ 90°), low angle first:
24.08°, rel. 74; 28.15°, rel. 100; 31.49°, rel. 21; 32.29°, rel. 22; 36.45°, rel. 25; 39.37°, rel. 34; 41.92°, rel. 77; 42.55°, rel. 27; 55.57°, rel. 19; 57.24°, rel. 34